(1)
Simulated powder diffraction line list of CeAlGaPt3 for λ = 1.5418 Å (Cu Kα), from the PBE geometry in Alexandria.

```
data_CeAlGaPt3
_chemical_formula_sum 'Ce2 Al2 Ga2 Pt6'
_symmetry_space_group_name_H-M 'P 1'
_symmetry_Int_Tables_number 1
_symmetry_space_group_name_Hall 'P 1'
_cell_length_a 8.4351
_cell_length_b 8.4351
_cell_length_c 5.6841
_cell_angle_alpha 90.00
_cell_angle_beta 90.00
_cell_angle_gamma 140.55
loop_
_atom_site_label
_atom_site_type_symbol
_atom_site_fract_x
_atom_site_fract_y
_atom_site_fract_z
_atom_site_occupancy
Ce1 Ce 0.2095 0.7905 0.7500 1
Ce2 Ce 0.7905 0.2095 0.2500 1
Al1 Al 0.4083 0.5917 0.2500 1
Al2 Al 0.5917 0.4083 0.7500 1
Ga1 Ga 0.0965 0.9035 0.2500 1
Ga2 Ga 0.9035 0.0965 0.7500 1
Pt1 Pt 0.2492 0.2492 0.0000 1
Pt2 Pt 0.2492 0.2492 0.5000 1
Pt3 Pt 0.2532 0.7468 0.2500 1
Pt4 Pt 0.7468 0.2532 0.7500 1
Pt5 Pt 0.7508 0.7508 0.0000 1
Pt6 Pt 0.7508 0.7508 0.5000 1
```

Largest 10 diffraction maxima, in order of rising 2θ, 2θ from 15° to 90°:
2theta	I_rel
22.4	52
22.8	8
33.5	100
45.1	34
45.9	9
46.9	41
50.9	24
66.1	9
75.7	20
84.5	15

---

(2)
Simulated powder diffraction line list of CeAl3Ge3 for λ = 1.5418 Å (Cu Kα), from the PBE geometry in Alexandria.

```
data_CeAl3Ge3
_chemical_formula_sum 'Ce2 Al6 Ge6'
_symmetry_space_group_name_H-M 'P 1'
_symmetry_Int_Tables_number 1
_symmetry_space_group_name_Hall 'P 1'
_cell_length_a 7.0046
_cell_length_b 7.0046
_cell_length_c 7.0046
_cell_angle_alpha 90.00
_cell_angle_beta 90.00
_cell_angle_gamma 90.00
loop_
_atom_site_label
_atom_site_type_symbol
_atom_site_fract_x
_atom_site_fract_y
_atom_site_fract_z
_atom_site_occupancy
Ce1 Ce 0.0000 0.0000 0.0000 1
Ce2 Ce 0.5000 0.5000 0.5000 1
Al1 Al 0.0000 0.2500 0.5000 1
Al2 Al 0.0000 0.7500 0.5000 1
Al3 Al 0.2500 0.5000 0.0000 1
Al4 Al 0.5000 0.0000 0.2500 1
Al5 Al 0.5000 0.0000 0.7500 1
Al6 Al 0.7500 0.5000 0.0000 1
Ge1 Ge 0.0000 0.5000 0.2500 1
Ge2 Ge 0.0000 0.5000 0.7500 1
Ge3 Ge 0.2500 0.0000 0.5000 1
Ge4 Ge 0.5000 0.2500 0.0000 1
Ge5 Ge 0.5000 0.7500 0.0000 1
Ge6 Ge 0.7500 0.0000 0.5000 1
```

Largest 10 diffraction maxima, in order of rising 2θ, 2θ from 15° to 90°:
2theta	I_rel
25.4	43
28.5	20
31.3	100
48.6	58
52.2	20
59.0	16
62.2	14
74.1	16
77.0	12
85.4	17

---

(3)
Simulated powder diffraction line list of Ce2AlGe3 for λ = 1.5418 Å (Cu Kα), from the PBE geometry in Alexandria.

```
data_Ce2AlGe3
_chemical_formula_sum 'Ce4 Al2 Ge6'
_symmetry_space_group_name_H-M 'P 1'
_symmetry_Int_Tables_number 1
_symmetry_space_group_name_Hall 'P 1'
_cell_length_a 8.6938
_cell_length_b 8.6118
_cell_length_c 5.9247
_cell_angle_alpha 70.73
_cell_angle_beta 69.24
_cell_angle_gamma 40.04
loop_
_atom_site_label
_atom_site_type_symbol
_atom_site_fract_x
_atom_site_fract_y
_atom_site_fract_z
_atom_site_occupancy
Ce1 Ce 0.2434 0.7566 0.7566 1
Ce2 Ce 0.2500 0.2500 0.2500 1
Ce3 Ce 0.7500 0.7500 0.7500 1
Ce4 Ce 0.7566 0.2434 0.2434 1
Al1 Al 0.3345 0.3345 0.6655 1
Al2 Al 0.6655 0.6655 0.3345 1
Ge1 Ge 0.1689 0.6631 0.3369 1
Ge2 Ge 0.1720 0.1720 0.8280 1
Ge3 Ge 0.3369 0.8311 0.1689 1
Ge4 Ge 0.6631 0.1689 0.8311 1
Ge5 Ge 0.8280 0.8280 0.1720 1
Ge6 Ge 0.8311 0.3369 0.6631 1
```

Largest 10 diffraction maxima, in order of rising 2θ, 2θ from 15° to 90°:
2theta	I_rel
23.9	14
32.2	49
32.5	100
41.6	43
42.3	20
44.1	18
53.3	13
54.1	22
62.2	25
62.8	12

---

(4)
Simulated powder diffraction line list of Ce3AlGe2 for λ = 1.5418 Å (Cu Kα), from the PBE geometry in Alexandria.

```
data_Ce3AlGe2
_chemical_formula_sum 'Ce12 Al4 Ge8'
_symmetry_space_group_name_H-M 'P 1'
_symmetry_Int_Tables_number 1
_symmetry_space_group_name_Hall 'P 1'
_cell_length_a 12.3781
_cell_length_b 4.1741
_cell_length_c 10.9598
_cell_angle_alpha 90.00
_cell_angle_beta 90.00
_cell_angle_gamma 90.00
loop_
_atom_site_label
_atom_site_type_symbol
_atom_site_fract_x
_atom_site_fract_y
_atom_site_fract_z
_atom_site_occupancy
Ce1 Ce 0.0429 0.2500 0.0919 1
Ce2 Ce 0.1243 0.7500 0.5729 1
Ce3 Ce 0.2126 0.2500 0.7668 1
Ce4 Ce 0.2874 0.7500 0.2668 1
Ce5 Ce 0.3757 0.2500 0.0729 1
Ce6 Ce 0.4571 0.7500 0.5919 1
Ce7 Ce 0.5429 0.2500 0.4081 1
Ce8 Ce 0.6243 0.7500 0.9271 1
Ce9 Ce 0.7126 0.2500 0.7332 1
Ce10 Ce 0.7874 0.7500 0.2332 1
Ce11 Ce 0.8757 0.2500 0.4271 1
Ce12 Ce 0.9571 0.7500 0.9081 1
Al1 Al 0.1256 0.2500 0.3629 1
Al2 Al 0.3744 0.7500 0.8629 1
Al3 Al 0.6256 0.2500 0.1371 1
Al4 Al 0.8744 0.7500 0.6371 1
Ge1 Ge 0.0245 0.7500 0.2972 1
Ge2 Ge 0.2006 0.7500 0.9868 1
Ge3 Ge 0.2994 0.2500 0.4868 1
Ge4 Ge 0.4755 0.2500 0.7972 1
Ge5 Ge 0.5245 0.7500 0.2028 1
Ge6 Ge 0.7006 0.7500 0.5132 1
Ge7 Ge 0.7994 0.2500 0.0132 1
Ge8 Ge 0.9755 0.2500 0.7028 1
```

Largest 10 diffraction maxima, in order of rising 2θ, 2θ from 15° to 90°:
2theta	I_rel
27.0	36
30.0	27
30.6	21
31.6	39
32.6	100
34.7	38
37.1	20
39.8	34
43.4	35
72.8	28